This entry pairs a crystal structure of CaV2P2O8 with its theoretical powder XRD pattern. Radiation: Cu Kα. Structure: a GGA+U-relaxed structure.

Principal peaks in the range 15 to 90 degrees two-theta, most intense first:
- 2θ = 27.37°, rel. 100
- 2θ = 32.14°, rel. 96
- 2θ = 34.63°, rel. 85
- 2θ = 31.48°, rel. 80
- 2θ = 18.64°, rel. 76
- 2θ = 35.70°, rel. 72
- 2θ = 30.74°, rel. 39
- 2θ = 23.52°, rel. 35
- 2θ = 49.85°, rel. 31
- 2θ = 23.39°, rel. 31
- 2θ = 42.24°, rel. 29
- 2θ = 47.82°, rel. 29

Structural model:
```
52
Lattice="8.450 -2.515 0.000 8.450 2.515 0.000 -7.822 0.000 15.713" Properties=species:S:1:pos:R:3 pbc="T T T"
Ca 1.449 0.782 2.396
Ca -2.462 -0.782 10.252
Ca 11.540 0.782 5.461
Ca 7.629 -0.782 13.317
V 4.225 1.257 0.000
V 2.623 1.378 8.470
V 2.583 1.560 11.784
V 2.544 1.378 15.099
V 0.314 -1.257 7.856
V 6.534 -1.378 0.614
V 6.495 -1.560 3.928
V 6.455 -1.378 7.243
P 0.884 1.104 5.795
P 5.244 1.096 6.069
P 7.745 1.096 1.787
P -3.028 -1.104 13.651
P 12.106 1.104 2.062
P 1.333 -1.096 13.925
P 3.834 -1.096 9.644
P 8.194 -1.104 9.918
O 5.243 2.004 4.829
O -1.008 0.922 11.161
O 1.277 1.346 10.113
O -0.614 0.452 8.723
O 6.505 1.329 0.851
O 3.945 1.449 6.836
O 7.746 2.004 3.027
O -2.585 0.320 14.065
O 9.044 1.449 1.020
O 3.297 -0.452 0.867
O 1.326 -0.320 6.209
O 6.484 1.329 7.006
O 3.890 1.346 13.456
O 1.305 0.427 13.532
O 3.861 0.427 10.037
O 2.903 -0.922 3.304
O 6.175 0.922 12.408
O 5.217 -0.427 5.676
O 7.772 -0.427 2.180
O 5.188 -1.346 2.257
O 2.594 -1.329 8.707
O 7.752 0.320 9.503
O 5.781 0.452 14.846
O 0.034 -1.449 14.693
O 11.663 -0.320 1.647
O 1.332 -2.004 12.685
O 5.133 -1.449 8.876
O 2.573 -1.329 14.862
O 9.692 -0.452 6.989
O 7.801 -1.346 5.599
O 10.086 -0.922 4.552
O 3.835 -2.004 10.883
```